(1)
# NaCo2Br6
Computed X-ray powder pattern, Cu Kα, 1.54184 Å. Input: DFT lattice parameters and positions (PBE).
Kinematic intensities with the Lorentz-polarization factor, no thermal factor.

Crystal structure
Unit cell a=13.685 b=12.904 c=6.934 alpha=90.00 beta=101.96 gamma=90.00
Space group C2/c (No. 15)
Asymmetric unit:
Na 0.000 0.114 0.250 (multiplicity 4)
Co 0.205 0.421 0.288 (multiplicity 8)
Br 0.120 0.083 0.653 (multiplicity 8)
Br 0.131 0.276 0.123 (multiplicity 8)
Br 0.146 0.430 0.593 (multiplicity 8)

Most intense lines, 2θ = 10–90°, sorted by position:
h k l  Position (°2θ)  d (Å)  I_rel
2 0 0  13.2  6.694  21
0 2 1  19.0  4.675  29
3 1 0  21.1  4.218  25
1 3 1  26.1  3.411  100
4 0 0  26.6  3.347  38
2 0 -2  26.9  3.315  55
3 3 -1  29.9  2.984  42
2 0 2  32.0  2.801  22
5 3 1  44.2  2.049  44
1 3 -3  44.5  2.035  33


(2)
# Na2Co2Br7
Computed X-ray powder pattern, Cu Kα, 1.54184 Å. Input: DFT lattice parameters and positions (PBE).
Kinematic intensities with the Lorentz-polarization factor, no thermal factor.

Crystal structure
Unit cell a=6.644 b=14.817 c=7.680 alpha=90.00 beta=98.34 gamma=90.00
Space group P2_1/c (No. 14)
Asymmetric unit:
Na 0.103 0.152 0.420 (multiplicity 4)
Co 0.346 0.612 0.661 (multiplicity 4)
Br 0.081 0.678 0.465 (multiplicity 4)
Br 0.214 0.545 0.898 (multiplicity 4)
Br 0.403 0.217 0.731 (multiplicity 4)
Br 0.500 0.000 0.000 (multiplicity 2)

Most intense lines, 2θ = 10–90°, sorted by position:
h k l  Position (°2θ)  d (Å)  I_rel
0 2 1  16.7  5.305  73
1 1 1  20.0  4.436  88
1 2 -1  20.4  4.349  75
1 3 0  22.5  3.948  87
1 3 1  26.3  3.384  81
1 2 -2  28.1  3.178  100
1 0 2  28.8  3.101  37
1 4 -1  29.3  3.050  72
2 5 -1  41.6  2.171  36
2 2 -3  43.6  2.077  31


(3)
# Nd5Co2Br2
Computed X-ray powder pattern, Cu Kα, 1.54184 Å. Input: DFT lattice parameters and positions (PBE).
Kinematic intensities with the Lorentz-polarization factor, no thermal factor.

Crystal structure
Unit cell a=16.121 b=7.808 c=7.846 alpha=90.00 beta=90.00 gamma=90.00
Space group Cmce (No. 64)
Asymmetric unit:
Nd 0.000 0.000 0.000 (multiplicity 4)
Nd 0.111 0.153 0.347 (multiplicity 16)
Co 0.000 0.142 0.638 (multiplicity 8)
Br 0.208 0.000 0.000 (multiplicity 8)

Most intense lines, 2θ = 10–90°, sorted by position:
h k l  Position (°2θ)  d (Å)  I_rel
2 0 0  11.0  8.061  71
0 2 1  25.5  3.495  49
3 1 2  30.4  2.936  52
4 0 2  31.9  2.808  69
5 1 1  32.1  2.786  81
4 2 1  34.0  2.641  100
1 1 3  36.7  2.451  77
1 3 1  36.8  2.442  78
5 1 2  37.9  2.373  74
9 3 1  64.2  1.451  49


(4)
# Nd4Co2Br5
Computed X-ray powder pattern, Cu Kα, 1.54184 Å. Input: DFT lattice parameters and positions (PBE).
Kinematic intensities with the Lorentz-polarization factor, no thermal factor.

Crystal structure
Unit cell a=4.102 b=8.422 c=18.985 alpha=90.00 beta=90.00 gamma=90.00
Space group Immm (No. 71)
Asymmetric unit:
Nd 0.000 0.000 0.182 (multiplicity 4)
Nd 0.000 0.287 0.500 (multiplicity 4)
Co 0.000 0.000 0.056 (multiplicity 4)
Br 0.000 0.231 0.331 (multiplicity 8)
Br 0.000 0.500 0.000 (multiplicity 2)

Most intense lines, 2θ = 10–90°, sorted by position:
h k l  Position (°2θ)  d (Å)  I_rel
0 1 1  11.5  7.699  37
1 1 2  25.9  3.438  20
0 0 6  28.2  3.164  42
1 2 1  30.8  2.904  100
0 3 3  35.0  2.566  22
1 2 5  38.7  2.324  52
0 4 0  43.0  2.106  16
2 0 0  44.2  2.051  20
1 1 8  45.5  1.995  25
1 5 8  72.6  1.303  17


(5)
# Nd6Co2OsBr3
Computed X-ray powder pattern, Cu Kα, 1.54184 Å. Input: DFT lattice parameters and positions (PBE).
Kinematic intensities with the Lorentz-polarization factor, no thermal factor.

Crystal structure
Unit cell a=19.543 b=4.030 c=9.141 alpha=90.00 beta=112.95 gamma=90.00
Space group C2/m (No. 12)
Asymmetric unit:
Nd 0.013 0.000 0.225 (multiplicity 4)
Nd 0.156 0.500 0.118 (multiplicity 4)
Nd 0.180 0.500 0.553 (multiplicity 4)
Co 0.170 0.000 0.340 (multiplicity 4)
Os 0.000 0.500 0.000 (multiplicity 2)
Br 0.000 0.500 0.500 (multiplicity 2)
Br 0.166 0.000 0.834 (multiplicity 4)

Most intense lines, 2θ = 10–90°, sorted by position:
h k l  Position (°2θ)  d (Å)  I_rel
2 0 -1  11.3  7.865  22
1 1 -2  29.8  3.003  100
8 0 -1  37.1  2.424  15
2 0 -4  40.0  2.252  29
0 2 0  45.0  2.014  36
9 1 -3  49.9  1.827  11
6 2 0  54.9  1.673  18
11 1 -1  57.7  1.597  8
1 3 -2  73.6  1.287  10
3 1 6  79.7  1.204  8


(6)
# NdSmCoBr
Computed X-ray powder pattern, Cu Kα, 1.54184 Å. Input: DFT lattice parameters and positions (PBE).
Kinematic intensities with the Lorentz-polarization factor, no thermal factor.

Crystal structure
Unit cell a=3.9560 b=3.9560 c=23.5110 alpha=90.00 beta=90.00 gamma=120.00
Space group R3m (No. 160, hexagonal axes)
Asymmetric unit:
Nd 0.0000 0.0000 0.0000 (multiplicity 3)
Sm 0.0000 0.0000 0.7941 (multiplicity 3)
Co 0.0000 0.0000 0.3977 (multiplicity 3)
Br 0.0000 0.0000 0.2273 (multiplicity 3)

Most intense lines, 2θ = 10–90°, sorted by position:
h k l  Position (°2θ)  d (Å)  I_rel
0 0 3  11.3  7.837  18
1 0 1  26.3  3.390  23
0 1 2  27.1  3.289  15
1 0 4  30.2  2.960  39
0 1 5  32.3  2.769  100
1 1 0  45.9  1.978  43
1 0 10  46.9  1.939  24
2 0 5  57.2  1.610  19
1 1 9  58.5  1.577  18
1 2 5  76.3  1.248  16


(7)
# Nd4ZnCoBr2
Computed X-ray powder pattern, Cu Kα, 1.54184 Å. Input: DFT lattice parameters and positions (PBE).
Kinematic intensities with the Lorentz-polarization factor, no thermal factor.

Crystal structure
Unit cell a=7.378 b=4.028 c=8.112 alpha=90.00 beta=107.16 gamma=90.00
Space group P2/m (No. 10)
Asymmetric unit:
Nd 0.223 0.000 0.294 (multiplicity 2)
Nd 0.227 0.500 0.698 (multiplicity 2)
Zn 0.500 0.500 0.500 (multiplicity 1)
Co 0.000 0.000 0.500 (multiplicity 1)
Br 0.000 0.500 0.000 (multiplicity 1)
Br 0.500 0.000 0.000 (multiplicity 1)

Most intense lines, 2θ = 10–90°, sorted by position:
h k l  Position (°2θ)  d (Å)  I_rel
0 0 1  11.4  7.751  13
1 1 -1  26.4  3.379  11
2 0 -2  28.8  3.103  42
1 1 1  29.5  3.026  100
1 1 -2  31.9  2.809  15
2 0 2  39.3  2.293  18
1 1 -3  40.2  2.241  25
3 1 -1  43.1  2.099  31
0 2 0  45.0  2.014  17
2 2 -2  54.3  1.689  14


(8)
# CoNi4Br
Computed X-ray powder pattern, Cu Kα, 1.54184 Å. Input: DFT lattice parameters and positions (PBE).
Kinematic intensities with the Lorentz-polarization factor, no thermal factor.

Crystal structure
Unit cell a=6.789 b=6.789 c=6.789 alpha=90.00 beta=90.00 gamma=90.00
Space group F-43m (No. 216)
Asymmetric unit:
Co 0.000 0.000 0.000 (multiplicity 4)
Ni 0.126 0.126 0.626 (multiplicity 16)
Br 0.250 0.250 0.250 (multiplicity 4)

Most intense lines, 2θ = 10–90°, sorted by position:
h k l  Position (°2θ)  d (Å)  I_rel
1 1 1  22.7  3.920  4
2 0 0  26.3  3.394  1
2 2 0  37.5  2.400  31
3 1 1  44.2  2.047  100
2 2 2  46.3  1.960  37
4 0 0  54.0  1.697  3
3 3 1  59.3  1.557  1
4 2 2  67.6  1.386  10
5 1 1  72.3  1.307  28
4 4 0  79.9  1.200  24


(9)
# Pr6Co2PBr3
Computed X-ray powder pattern, Cu Kα, 1.54184 Å. Input: DFT lattice parameters and positions (PBE).
Kinematic intensities with the Lorentz-polarization factor, no thermal factor.

Crystal structure
Unit cell a=7.147 b=12.377 c=8.068 alpha=90.00 beta=107.06 gamma=90.00
Space group C2/m (No. 12)
Asymmetric unit:
Pr 0.218 0.000 0.196 (multiplicity 4)
Pr 0.239 0.326 0.196 (multiplicity 8)
Co 0.000 0.167 0.000 (multiplicity 4)
P 0.000 0.500 0.000 (multiplicity 2)
Br 0.000 0.000 0.500 (multiplicity 2)
Br 0.000 0.336 0.500 (multiplicity 4)

Most intense lines, 2θ = 10–90°, sorted by position:
h k l  Position (°2θ)  d (Å)  I_rel
2 0 0  26.1  3.414  17
1 3 1  29.4  3.040  100
1 3 -2  31.6  2.828  18
0 0 3  34.9  2.571  11
2 0 -3  37.0  2.427  10
2 0 2  40.1  2.248  27
0 6 0  43.9  2.063  37
4 0 0  53.7  1.707  17
0 6 3  57.2  1.610  10
4 6 0  71.8  1.315  14


(10)
# Pa6CoBr15
Computed X-ray powder pattern, Cu Kα, 1.54184 Å. Input: DFT lattice parameters and positions (PBE).
Kinematic intensities with the Lorentz-polarization factor, no thermal factor.

Crystal structure
Unit cell a=11.485 b=11.485 c=11.485 alpha=90.00 beta=90.00 gamma=90.00
Space group Im-3m (No. 229)
Asymmetric unit:
Pa 0.000 0.000 0.234 (multiplicity 12)
Co 0.000 0.000 0.000 (multiplicity 2)
Br 0.000 0.000 0.500 (multiplicity 6)
Br 0.000 0.251 0.251 (multiplicity 24)

Most intense lines, 2θ = 10–90°, sorted by position:
h k l  Position (°2θ)  d (Å)  I_rel
1 1 0  10.9  8.121  88
2 1 1  18.9  4.689  26
3 2 1  29.1  3.070  43
4 0 0  31.1  2.871  100
3 3 2  36.7  2.449  21
5 1 0  40.0  2.252  20
4 4 0  44.6  2.030  72
4 4 4  55.4  1.658  25
8 4 0  73.8  1.284  30
8 4 4  82.2  1.172  22


(11)
# PrPaCoBr
Computed X-ray powder pattern, Cu Kα, 1.54184 Å. Input: DFT lattice parameters and positions (PBE).
Kinematic intensities with the Lorentz-polarization factor, no thermal factor.

Crystal structure
Unit cell a=4.2188 b=4.2188 c=45.4278 alpha=90.00 beta=90.00 gamma=120.00
Space group R-3m (No. 166, hexagonal axes)
Asymmetric unit:
Pr 0.0000 0.0000 0.0851 (multiplicity 6)
Pa 0.0000 0.0000 0.3068 (multiplicity 6)
Co 0.0000 0.0000 0.3690 (multiplicity 6)
Br 0.0000 0.0000 0.2073 (multiplicity 6)

Most intense lines, 2θ = 10–90°, sorted by position:
h k l  Position (°2θ)  d (Å)  I_rel
0 1 2  24.7  3.607  49
0 1 5  26.3  3.390  71
0 1 8  29.1  3.073  71
1 0 10  31.4  2.847  99
0 0 18  35.6  2.525  100
1 1 0  42.9  2.109  95
1 1 3  43.3  2.089  24
0 1 23  52.7  1.738  32
0 2 10  54.1  1.695  22
1 1 18  56.9  1.619  71


(12)
# CoPbBr4
Computed X-ray powder pattern, Cu Kα, 1.54184 Å. Input: DFT lattice parameters and positions (PBE).
Kinematic intensities with the Lorentz-polarization factor, no thermal factor.

Crystal structure
Unit cell a=7.994 b=11.411 c=9.275 alpha=90.00 beta=90.00 gamma=90.00
Space group Cmcm (No. 63)
Asymmetric unit:
Co 0.000 0.136 0.250 (multiplicity 4)
Pb 0.000 0.500 0.000 (multiplicity 4)
Br 0.000 0.236 0.027 (multiplicity 8)
Br 0.241 0.004 0.250 (multiplicity 8)

Most intense lines, 2θ = 10–90°, sorted by position:
h k l  Position (°2θ)  d (Å)  I_rel
1 1 0  13.5  6.548  50
0 2 0  15.5  5.706  39
2 0 0  22.2  3.997  32
1 1 2  23.5  3.784  90
1 3 0  25.9  3.435  51
2 0 2  29.5  3.028  94
0 4 0  31.4  2.853  41
2 2 2  33.5  2.675  32
0 0 4  38.8  2.319  37
2 4 2  43.6  2.076  100


(13)
# CoPdBr5
Computed X-ray powder pattern, Cu Kα, 1.54184 Å. Input: DFT lattice parameters and positions (PBE).
Kinematic intensities with the Lorentz-polarization factor, no thermal factor.

Crystal structure
Unit cell a=9.475 b=9.454 c=10.503 alpha=90.00 beta=114.39 gamma=90.00
Space group C2/c (No. 15)
Asymmetric unit:
Co 0.000 0.022 0.250 (multiplicity 4)
Pd 0.250 0.250 0.000 (multiplicity 4)
Br 0.000 0.244 0.750 (multiplicity 4)
Br 0.051 0.182 0.098 (multiplicity 8)
Br 0.226 0.499 0.069 (multiplicity 8)

Most intense lines, 2θ = 10–90°, sorted by position:
h k l  Position (°2θ)  d (Å)  I_rel
1 1 0  13.9  6.373  61
1 1 -1  14.2  6.257  100
1 1 1  18.9  4.685  66
1 1 -2  19.5  4.549  68
1 3 -1  30.4  2.945  54
2 0 2  33.2  2.698  71
1 3 -2  33.3  2.694  52
3 1 -3  33.6  2.669  56
1 1 3  35.1  2.557  52
2 4 -2  44.0  2.057  39